For LiLa6Hg5, a structure optimized by DFT (PBE) gives the calculated powder diffractogram in this record (Cu Kα (weighted mean of Kα1 and Kα2)).
Neutral-atom scattering factors, no anomalous dispersion.

Crystal structure
```
data_LiLa6Hg5
_space_group_name_H-M_alt 'I m m m'
_space_group_IT_number 71
_space_group_name_Hall '-I 2 2'
_cell_length_a 5.5080
_cell_length_b 7.8243
_cell_length_c 16.6042
_cell_angle_alpha 90.00
_cell_angle_beta 90.00
_cell_angle_gamma 90.00
loop_
_atom_site_label
_atom_site_type_symbol
_atom_site_fract_x
_atom_site_fract_y
_atom_site_fract_z
_atom_site_occupancy
Li1 Li 0.0000 0.0000 0.0000 1
La1 La 0.0000 0.2434 0.5000 1
La2 La 0.0000 0.2520 0.1695 1
Hg1 Hg 0.0000 0.0000 0.3340 1
Hg2 Hg 0.0000 0.5000 0.0000 1
Hg3 Hg 0.0000 0.5000 0.3440 1
```

Principal peaks in the range 2θ = 10–90°, by intensity:
2θ 32.39, I = 100.0, (1 2 3); 2θ 57.72, I = 22.1, (0 4 6); 2θ 32.51, I = 20.1, (2 0 0); 2θ 57.93, I = 15.5, (3 2 3); 2θ 46.52, I = 14.4, (2 0 6); 2θ 77.12, I = 9.7, (1 6 3); 2θ 67.83, I = 9.4, (2 4 6); 2θ 57.82, I = 7.8, (2 4 0)